# 1
CaBe2Au5: calculated PXRD pattern (Cu Kα), based on a cell relaxed with GGA-PBE.
Lines closer than 0.1° are merged.

Structural model:
```
data_CaBe2Au5
_chemical_formula_sum 'Ca2 Be4 Au10'
_cell_length_a 4.2610
_cell_length_b 4.2610
_cell_length_c 14.5978
_cell_angle_alpha 90.00
_cell_angle_beta 90.00
_cell_angle_gamma 90.00
_symmetry_space_group_name_H-M 'I 4/m m m'
_symmetry_Int_Tables_number 139
_symmetry_space_group_name_Hall '-I 4 2'
loop_
_atom_site_label
_atom_site_type_symbol
_atom_site_fract_x
_atom_site_fract_y
_atom_site_fract_z
Ca1 Ca 0.0000 0.0000 0.0000
Be1 Be 0.0000 0.0000 0.2542
Au1 Au 0.0000 0.0000 0.5000
Au2 Au 0.0000 0.5000 0.1527
```

Peak list (10 most intense, 2θ from 10° to 90°, low angle first)
d_spacing	I (rel.)
3.013	39
2.785	55
2.433	32
2.323	100
2.131	57
1.892	19
1.603	36
1.506	19
1.314	23
1.264	29

# 2
Hf3ScGa12: calculated PXRD pattern (Cu Kα), based on a cell relaxed with GGA-PBE.
Lines closer than 0.1° are merged.

Structural model:
```
data_Hf3ScGa12
_chemical_formula_sum 'Hf3 Sc1 Ga12'
_cell_length_a 3.9624
_cell_length_b 3.9624
_cell_length_c 17.6011
_cell_angle_alpha 90.00
_cell_angle_beta 90.00
_cell_angle_gamma 90.00
_symmetry_space_group_name_H-M 'P 4 m m'
_symmetry_Int_Tables_number 99
_symmetry_space_group_name_Hall 'P 4 -2'
loop_
_atom_site_label
_atom_site_type_symbol
_atom_site_fract_x
_atom_site_fract_y
_atom_site_fract_z
Hf1 Hf 0.0000 0.0000 0.0000
Hf2 Hf 0.0000 0.0000 0.2372
Hf3 Hf 0.5000 0.5000 0.7390
Sc1 Sc 0.5000 0.5000 0.5005
Ga1 Ga 0.0000 0.0000 0.4983
Ga2 Ga 0.0000 0.0000 0.7413
Ga3 Ga 0.0000 0.5000 0.1193
Ga4 Ga 0.0000 0.5000 0.3697
Ga5 Ga 0.0000 0.5000 0.6192
Ga6 Ga 0.0000 0.5000 0.8692
Ga7 Ga 0.5000 0.5000 0.2462
Ga8 Ga 0.5000 0.5000 0.9968
```

Peak list (10 most intense, 2θ from 10° to 90°, low angle first)
d_spacing	I (rel.)
8.801	5
3.866	9
2.363	100
2.200	19
1.981	29
1.472	21
1.401	9
1.299	13
1.205	22
1.182	10

# 3
Sm6TlRu: calculated PXRD pattern (Cu Kα), based on a cell relaxed with GGA-PBE.
Lines closer than 0.1° are merged.

Structural model:
```
data_Sm6TlRu
_chemical_formula_sum 'Sm12 Tl2 Ru2'
_cell_length_a 8.0469
_cell_length_b 10.3502
_cell_length_c 6.5257
_cell_angle_alpha 90.00
_cell_angle_beta 105.00
_cell_angle_gamma 90.00
_symmetry_space_group_name_H-M 'C 1 2/m 1'
_symmetry_Int_Tables_number 12
_symmetry_space_group_name_Hall '-C 2y'
loop_
_atom_site_label
_atom_site_type_symbol
_atom_site_fract_x
_atom_site_fract_y
_atom_site_fract_z
Sm1 Sm 0.1228 0.1854 0.2879
Sm2 Sm 0.2173 0.5000 0.1463
Tl1 Tl 0.0000 0.5000 0.5000
Ru1 Ru 0.0000 0.0000 0.0000
```

Peak list (10 most intense, 2θ from 10° to 90°, low angle first)
d_spacing	I (rel.)
3.153	57
3.080	51
3.049	46
2.981	61
2.709	100
2.692	36
2.567	59
2.485	39
1.819	28
1.631	30

# 4
CaCd10Hg2: calculated PXRD pattern (Cu Kα), based on a cell relaxed with GGA-PBE.
Lines closer than 0.1° are merged.

Structural model:
```
data_CaCd10Hg2
_chemical_formula_sum 'Ca1 Cd10 Hg2'
_cell_length_a 6.0945
_cell_length_b 7.7033
_cell_length_c 7.7405
_cell_angle_alpha 81.65
_cell_angle_beta 67.12
_cell_angle_gamma 67.39
_symmetry_space_group_name_H-M 'P -1'
_symmetry_Int_Tables_number 2
_symmetry_space_group_name_Hall '-P 1'
loop_
_atom_site_label
_atom_site_type_symbol
_atom_site_fract_x
_atom_site_fract_y
_atom_site_fract_z
Ca1 Ca 0.0000 0.0000 0.0000
Cd1 Cd 0.0000 0.0000 0.5000
Cd2 Cd 0.0022 0.3518 0.6451
Cd3 Cd 0.2848 0.2120 0.2130
Cd4 Cd 0.3539 0.6489 0.6457
Cd5 Cd 0.5000 0.0000 0.5000
Cd6 Cd 0.4999 0.2118 0.7873
Hg1 Hg 0.0000 0.5000 0.0000
Hg2 Hg 0.5000 0.5000 0.0000
```

Peak list (10 most intense, 2θ from 10° to 90°, low angle first)
d_spacing	I (rel.)
7.112	48
5.035	85
2.617	83
2.547	62
2.524	72
2.511	57
2.325	100
2.310	49
2.300	49
2.255	70

# 5
DyTm5Tl3: calculated PXRD pattern (Cu Kα), based on a cell relaxed with GGA-PBE.
Lines closer than 0.1° are merged.

Structural model:
```
data_DyTm5Tl3
_chemical_formula_sum 'Dy2 Tm10 Tl6'
_cell_length_a 9.2647
_cell_length_b 9.2647
_cell_length_c 6.6570
_cell_angle_alpha 90.00
_cell_angle_beta 90.00
_cell_angle_gamma 120.00
_symmetry_space_group_name_H-M 'P 63/m c m'
_symmetry_Int_Tables_number 193
_symmetry_space_group_name_Hall '-P 6c 2'
loop_
_atom_site_label
_atom_site_type_symbol
_atom_site_fract_x
_atom_site_fract_y
_atom_site_fract_z
Dy1 Dy 0.0000 0.0000 0.0000
Tm1 Tm 0.0000 0.3332 0.2500
Tm2 Tm 0.3333 0.6667 0.0000
Tl1 Tl 0.0000 0.3345 0.7500
```

Peak list (10 most intense, 2θ from 10° to 90°, low angle first)
d_spacing	I (rel.)
2.703	88
2.674	100
2.085	14
1.901	32
1.550	33
1.544	19
1.413	29
1.337	12
1.199	14
1.132	14

# 6
ErTmMg5: calculated PXRD pattern (Cu Kα), based on a cell relaxed with GGA-PBE.
Lines closer than 0.1° are merged.

Structural model:
```
data_ErTmMg5
_chemical_formula_sum 'Er2 Tm2 Mg10'
_cell_length_a 6.3394
_cell_length_b 9.7298
_cell_length_c 6.4812
_cell_angle_alpha 90.00
_cell_angle_beta 110.28
_cell_angle_gamma 90.00
_symmetry_space_group_name_H-M 'C 1 2/m 1'
_symmetry_Int_Tables_number 12
_symmetry_space_group_name_Hall '-C 2y'
loop_
_atom_site_label
_atom_site_type_symbol
_atom_site_fract_x
_atom_site_fract_y
_atom_site_fract_z
Er1 Er 0.0000 0.0000 0.0000
Tm1 Tm 0.0000 0.5000 0.5000
Mg1 Mg 0.0000 0.0000 0.5000
Mg2 Mg 0.2059 0.2863 0.2267
```

Peak list (10 most intense, 2θ from 10° to 90°, low angle first)
d_spacing	I (rel.)
4.865	49
4.626	100
3.428	65
2.760	48
2.630	33
2.578	57
2.537	52
2.431	36
2.109	18
1.786	17

# 7
Pa2Ni2Pt: calculated PXRD pattern (Cu Kα), based on a cell relaxed with GGA-PBE.
Lines closer than 0.1° are merged.

Structural model:
```
data_Pa2Ni2Pt
_chemical_formula_sum 'Pa8 Ni8 Pt4'
_cell_length_a 7.0956
_cell_length_b 7.0956
_cell_length_c 7.2918
_cell_angle_alpha 90.00
_cell_angle_beta 90.00
_cell_angle_gamma 90.00
_symmetry_space_group_name_H-M 'P 4/m n c'
_symmetry_Int_Tables_number 128
_symmetry_space_group_name_Hall '-P 4 2n'
loop_
_atom_site_label
_atom_site_type_symbol
_atom_site_fract_x
_atom_site_fract_y
_atom_site_fract_z
Pa1 Pa 0.1774 0.3223 0.0000
Ni1 Ni 0.1254 0.6254 0.2500
Pt1 Pt 0.0000 0.0000 0.2510
```

Peak list (10 most intense, 2θ from 10° to 90°, low angle first)
d_spacing	I (rel.)
3.173	32
2.949	23
2.543	76
2.509	22
2.394	100
2.244	50
1.823	19
1.556	25
1.520	23
1.415	23

# 8
TaTe4P3: calculated PXRD pattern (Cu Kα), based on a cell relaxed with GGA-PBE.
Lines closer than 0.1° are merged.

Structural model:
```
data_TaTe4P3
_chemical_formula_sum 'Ta1 Te4 P3'
_cell_length_a 5.8299
_cell_length_b 5.8299
_cell_length_c 5.8299
_cell_angle_alpha 90.00
_cell_angle_beta 90.00
_cell_angle_gamma 90.00
_symmetry_space_group_name_H-M 'P -4 3 m'
_symmetry_Int_Tables_number 215
_symmetry_space_group_name_Hall 'P -4 2 3'
loop_
_atom_site_label
_atom_site_type_symbol
_atom_site_fract_x
_atom_site_fract_y
_atom_site_fract_z
Ta1 Ta 0.0000 0.0000 0.0000
Te1 Te 0.3005 0.3005 0.3005
P1 P 0.0000 0.0000 0.5000
```

Peak list (10 most intense, 2θ from 10° to 90°, low angle first)
d_spacing	I (rel.)
4.122	49
3.366	100
2.607	91
2.380	52
2.061	71
1.943	46
1.558	30
1.414	31
1.374	35
1.272	22

# 9
Co3SiH: calculated PXRD pattern (Cu Kα), based on a cell relaxed with GGA-PBE.
Lines closer than 0.1° are merged.

Structural model:
```
data_Co3SiH
_chemical_formula_sum 'Co18 Si6 H6'
_cell_length_a 6.3809
_cell_length_b 6.3809
_cell_length_c 7.9136
_cell_angle_alpha 90.00
_cell_angle_beta 90.00
_cell_angle_gamma 120.00
_symmetry_space_group_name_H-M 'R -3 c'
_symmetry_Int_Tables_number 167
_symmetry_space_group_name_Hall '-R 3 2"c'
loop_
_atom_site_label
_atom_site_type_symbol
_atom_site_fract_x
_atom_site_fract_y
_atom_site_fract_z
Co1 Co 0.0000 0.2782 0.2500
Si1 Si 0.0000 0.0000 0.0000
H1 H 0.0000 0.0000 0.2500
```

Peak list (10 most intense, 2θ from 10° to 90°, low angle first)
d_spacing	I (rel.)
3.190	22
2.265	23
2.033	100
2.019	41
1.863	9
1.847	15
1.842	42
1.252	11
1.219	10
1.133	11

# 10
YMg5Pd6: calculated PXRD pattern (Cu Kα), based on a cell relaxed with GGA-PBE.
Lines closer than 0.1° are merged.

Structural model:
```
data_YMg5Pd6
_chemical_formula_sum 'Y1 Mg5 Pd6'
_cell_length_a 4.5849
_cell_length_b 6.5707
_cell_length_c 7.1253
_cell_angle_alpha 90.00
_cell_angle_beta 106.00
_cell_angle_gamma 90.00
_symmetry_space_group_name_H-M 'P 1 2/m 1'
_symmetry_Int_Tables_number 10
_symmetry_space_group_name_Hall '-P 2y'
loop_
_atom_site_label
_atom_site_type_symbol
_atom_site_fract_x
_atom_site_fract_y
_atom_site_fract_z
Y1 Y 0.0000 0.0000 0.0000
Mg1 Mg 0.0000 0.5000 0.0000
Mg2 Mg 0.3316 0.0000 0.6569
Mg3 Mg 0.3358 0.5000 0.6701
Pd1 Pd 0.1690 0.2592 0.3402
Pd2 Pd 0.5000 0.2629 0.0000
```

Peak list (10 most intense, 2θ from 10° to 90°, low angle first)
d_spacing	I (rel.)
3.314	33
3.285	31
3.159	29
2.333	100
2.290	48
2.283	47
2.277	93
1.657	17
1.341	17
1.334	31

# 11
Tb6Lu: calculated PXRD pattern (Cu Kα), based on a cell relaxed with GGA-PBE.
Lines closer than 0.1° are merged.

Structural model:
```
data_Tb6Lu
_chemical_formula_sum 'Tb12 Lu2'
_cell_length_a 8.0026
_cell_length_b 8.0026
_cell_length_c 8.0026
_cell_angle_alpha 90.00
_cell_angle_beta 90.00
_cell_angle_gamma 90.00
_symmetry_space_group_name_H-M 'I m -3 m'
_symmetry_Int_Tables_number 229
_symmetry_space_group_name_Hall '-I 4 2 3'
loop_
_atom_site_label
_atom_site_type_symbol
_atom_site_fract_x
_atom_site_fract_y
_atom_site_fract_z
Tb1 Tb 0.0000 0.2500 0.5000
Lu1 Lu 0.0000 0.0000 0.0000
```

Peak list (10 most intense, 2θ from 10° to 90°, low angle first)
d_spacing	I (rel.)
5.659	16
4.001	41
3.267	100
2.310	32
2.139	62
2.001	33
1.789	18
1.461	19
1.415	22
1.298	19

# 12
Pa2NiRu4: calculated PXRD pattern (Cu Kα), based on a cell relaxed with GGA-PBE.
Lines closer than 0.1° are merged.

Structural model:
```
data_Pa2NiRu4
_chemical_formula_sum 'Pa4 Ni2 Ru8'
_cell_length_a 5.2395
_cell_length_b 8.3534
_cell_length_c 5.8806
_cell_angle_alpha 90.00
_cell_angle_beta 106.10
_cell_angle_gamma 90.00
_symmetry_space_group_name_H-M 'P 1 21/c 1'
_symmetry_Int_Tables_number 14
_symmetry_space_group_name_Hall '-P 2ybc'
loop_
_atom_site_label
_atom_site_type_symbol
_atom_site_fract_x
_atom_site_fract_y
_atom_site_fract_z
Pa1 Pa 0.1537 0.0217 0.2908
Ni1 Ni 0.5000 0.0000 0.0000
Ru1 Ru 0.1951 0.7445 0.9821
Ru2 Ru 0.3552 0.2295 0.6592
```

Peak list (10 most intense, 2θ from 10° to 90°, low angle first)
d_spacing	I (rel.)
3.904	27
3.214	20
3.092	71
2.674	17
2.466	53
2.338	100
2.141	21
2.136	33
2.088	39
1.867	18

# 13
Pr2SiNi4Ge3: calculated PXRD pattern (Cu Kα), based on a cell relaxed with GGA-PBE.
Lines closer than 0.1° are merged.

Structural model:
```
data_Pr2SiNi4Ge3
_chemical_formula_sum 'Pr2 Si1 Ni4 Ge3'
_cell_length_a 4.1531
_cell_length_b 4.1531
_cell_length_c 9.7066
_cell_angle_alpha 90.00
_cell_angle_beta 90.00
_cell_angle_gamma 90.00
_symmetry_space_group_name_H-M 'P -4 m 2'
_symmetry_Int_Tables_number 115
_symmetry_space_group_name_Hall 'P -4 -2'
loop_
_atom_site_label
_atom_site_type_symbol
_atom_site_fract_x
_atom_site_fract_y
_atom_site_fract_z
Pr1 Pr 0.0000 0.5000 0.2486
Si1 Si 0.5000 0.5000 0.0000
Ni1 Ni 0.0000 0.0000 0.5000
Ni2 Ni 0.0000 0.5000 0.8804
Ni3 Ni 0.5000 0.5000 0.5000
Ge1 Ge 0.0000 0.0000 0.0000
Ge2 Ge 0.0000 0.5000 0.6284
```

Peak list (10 most intense, 2θ from 10° to 90°, low angle first)
d_spacing	I (rel.)
2.937	31
2.552	93
2.513	100
2.077	68
1.759	29
1.611	45
1.468	22
1.417	17
1.342	23
1.268	22